# NdGaNO
Computed XRD peak list, Cu Kα (λ = 1.5418 Å). Input: a PBE-relaxed structure.
Kinematic intensities with the Lorentz-polarization factor, no thermal factor.

Main lines, by angle (10° ≤ 2θ ≤ 80°):
2θ (°)  Rel. int.  h k l
15.28  356  0 0 2
30.85  390  0 0 4
31.31  962  1 0 1
34.12  1000  1 0 2
38.40  727  1 0 3
50.04  272  1 0 5
53.87  430  1 1 0
56.98  220  1 0 6
63.37  309  1 1 4
65.32  151  2 0 2

Lattice parameters (Å, degrees): 3.4040 3.4040 11.5946 90.00 90.00 120.00
Space group P6_3mc (No. 186)
One atom of each set of equivalent atoms:
Nd: 0.3333 0.6667 0.0000 (multiplicity 2)
Ga: 0.0000 0.0000 0.2822 (multiplicity 2)
N: 0.3333 0.6667 0.3386 (multiplicity 2)
O: 0.0000 0.0000 0.1205 (multiplicity 2)


# Nd2GaP2N6
Computed XRD peak list, Cu Kα (λ = 1.5418 Å). Input: a PBE-relaxed structure.
Kinematic intensities with the Lorentz-polarization factor, no thermal factor.

Main lines, by angle (10° ≤ 2θ ≤ 80°):
2θ (°)  Rel. int.  h k l
18.68  227  1 0 0
24.02  1000  0 1 1
32.65  908  1 1 0
35.74  935  1 0 2
40.94  393  2 0 1
49.19  354  0 2 2
53.32  273  1 2 1
57.54  235  2 -1 3
58.27  219  3 0 0
60.29  387  2 1 2

Lattice parameters (Å, degrees): 5.4850 5.4850 5.9194 90.00 90.00 120.00
Space group P-3 (No. 147)
One atom of each set of equivalent atoms:
Nd: 0.3333 0.6667 0.3422 (multiplicity 2)
Ga: 0.0000 0.0000 0.0000 (multiplicity 1)
P: 0.3333 0.6667 0.8391 (multiplicity 2)
N: 0.0908 0.3489 0.7806 (multiplicity 6)


# Nd2UGaN5
Computed XRD peak list, Cu Kα (λ = 1.5418 Å). Input: a PBE-relaxed structure.
Kinematic intensities with the Lorentz-polarization factor, no thermal factor.

Main lines, by angle (10° ≤ 2θ ≤ 80°):
2θ (°)  Rel. int.  h k l
21.18  342  0 2 2
26.57  499  0 4 1
28.65  673  0 2 3
30.53  776  0 4 2
32.10  577  1 3 0
33.26  461  1 3 1
37.27  1000  1 1 3
39.12  392  0 6 1
44.89  460  1 5 2
55.05  339  1 3 5

Lattice parameters (Å, degrees): 3.4554 14.1678 10.4079 90.00 90.00 90.00
Space group Cmc2_1 (No. 36)
One atom of each set of equivalent atoms:
Nd: 0.0000 0.1067 0.0000 (multiplicity 4)
Nd: 0.0000 0.1241 0.6055 (multiplicity 4)
U: 0.0000 0.2126 0.3142 (multiplicity 4)
Ga: 0.0000 0.4859 0.7773 (multiplicity 4)
N: 0.0000 0.0568 0.3517 (multiplicity 4)
N: 0.0000 0.2833 0.9440 (multiplicity 4)
N: 0.0000 0.2973 0.6854 (multiplicity 4)
N: 0.0000 0.3660 0.3108 (multiplicity 4)
N: 0.0000 0.4986 0.0908 (multiplicity 4)


# Ga11NO15
Computed XRD peak list, Cu Kα (λ = 1.5418 Å). Input: a PBE-relaxed structure.
Kinematic intensities with the Lorentz-polarization factor, no thermal factor.

Main lines, by angle (10° ≤ 2θ ≤ 80°):
2θ (°)  Rel. int.  h k l
18.78  286  1 0 -1
30.68  495  -1 1 2
35.19  396  1 2 1
35.36  636  1 -2 1
35.52  1000  1 0 3
35.81  389  0 1 -3
36.04  469  -2 1 1
62.19  464  0 4 0
62.49  233  2 -2 4
63.89  368  2 2 -4

Lattice parameters (Å, degrees): 5.8756 5.9732 8.2924 89.82 88.26 89.79
Space group P1 (No. 1)
One atom of each set of equivalent atoms:
Ga: 0.0000 0.0000 0.0000 (multiplicity 1)
Ga: 0.0002 0.4870 0.9987 (multiplicity 1)
Ga: 0.0207 0.2488 0.6153 (multiplicity 1)
Ga: 0.0439 0.7375 0.3514 (multiplicity 1)
Ga: 0.2735 0.2409 0.2352 (multiplicity 1)
Ga: 0.2780 0.7511 0.7348 (multiplicity 1)
Ga: 0.4987 0.7442 0.1197 (multiplicity 1)
Ga: 0.5238 0.2302 0.8485 (multiplicity 1)
Ga: 0.5431 0.4896 0.4706 (multiplicity 1)
Ga: 0.5459 0.0015 0.4807 (multiplicity 1)
Ga: 0.7657 0.7501 0.7358 (multiplicity 1)
N: 0.5224 0.9685 0.7196 (multiplicity 1)
O: 0.0211 0.5194 0.7456 (multiplicity 1)
O: 0.0224 0.9782 0.7440 (multiplicity 1)
O: 0.0387 0.4817 0.2257 (multiplicity 1)
O: 0.0405 0.9975 0.2277 (multiplicity 1)
O: 0.2439 0.7418 0.9772 (multiplicity 1)
O: 0.2524 0.2419 0.9891 (multiplicity 1)
O: 0.2889 0.2469 0.4801 (multiplicity 1)
O: 0.2924 0.7317 0.4928 (multiplicity 1)
O: 0.5062 0.4839 0.2411 (multiplicity 1)
O: 0.5062 0.9986 0.2486 (multiplicity 1)
O: 0.5219 0.5053 0.7258 (multiplicity 1)
O: 0.7624 0.2497 0.4940 (multiplicity 1)
O: 0.7720 0.7374 0.4852 (multiplicity 1)
O: 0.7765 0.7435 0.9847 (multiplicity 1)
O: 0.7888 0.2442 0.9698 (multiplicity 1)


# Ga23N5O27
Computed XRD peak list, Cu Kα (λ = 1.5418 Å). Input: a PBE-relaxed structure.
Kinematic intensities with the Lorentz-polarization factor, no thermal factor.

Main lines, by angle (10° ≤ 2θ ≤ 80°):
2θ (°)  Rel. int.  h k l
30.14  364  1 2 1
35.25  651  -1 1 4
35.35  1000  1 1 -6
35.48  972  1 -1 4
35.56  334  2 2 0
35.71  551  1 2 5
43.01  395  2 2 -4
56.79  304  3 2 -5
57.17  316  1 3 8
62.77  488  2 4 2

Lattice parameters (Å, degrees): 5.9179 5.9252 19.5958 81.88 82.32 60.54
Space group P1 (No. 1)
One atom of each set of equivalent atoms:
Ga: 0.0000 0.0000 0.0000 (multiplicity 1)
Ga: 0.0029 0.0161 0.3946 (multiplicity 1)
Ga: 0.0048 0.5260 0.3975 (multiplicity 1)
Ga: 0.0145 0.5312 0.8998 (multiplicity 1)
Ga: 0.0258 0.0648 0.8100 (multiplicity 1)
Ga: 0.1356 0.1504 0.5283 (multiplicity 1)
Ga: 0.2445 0.2345 0.2405 (multiplicity 1)
Ga: 0.2612 0.2707 0.6456 (multiplicity 1)
Ga: 0.2665 0.7782 0.6490 (multiplicity 1)
Ga: 0.2686 0.7677 0.1496 (multiplicity 1)
Ga: 0.2916 0.3012 0.0576 (multiplicity 1)
Ga: 0.4005 0.3958 0.7770 (multiplicity 1)
Ga: 0.4795 0.4910 0.4921 (multiplicity 1)
Ga: 0.5044 0.5546 0.3031 (multiplicity 1)
Ga: 0.5055 0.0194 0.3983 (multiplicity 1)
Ga: 0.5302 0.0225 0.8975 (multiplicity 1)
Ga: 0.5323 0.5240 0.8984 (multiplicity 1)
Ga: 0.6597 0.6646 0.0322 (multiplicity 1)
Ga: 0.7377 0.7443 0.7484 (multiplicity 1)
Ga: 0.7678 0.2771 0.6485 (multiplicity 1)
Ga: 0.7693 0.2704 0.1515 (multiplicity 1)
Ga: 0.7755 0.7922 0.5607 (multiplicity 1)
Ga: 0.8869 0.8574 0.2684 (multiplicity 1)
N: 0.1471 0.7247 0.3388 (multiplicity 1)
N: 0.4190 0.9681 0.5904 (multiplicity 1)
N: 0.6712 0.2304 0.8415 (multiplicity 1)
N: 0.7069 0.7120 0.8459 (multiplicity 1)
N: 0.9549 0.4338 0.5902 (multiplicity 1)
O: 0.0727 0.0688 0.2118 (multiplicity 1)
O: 0.0740 0.0830 0.7106 (multiplicity 1)
O: 0.0909 0.5831 0.2105 (multiplicity 1)
O: 0.1087 0.5754 0.7107 (multiplicity 1)
O: 0.1888 0.2036 0.3439 (multiplicity 1)
O: 0.2073 0.2246 0.8388 (multiplicity 1)
O: 0.2087 0.6997 0.8399 (multiplicity 1)
O: 0.3064 0.8550 0.4599 (multiplicity 1)
O: 0.3109 0.3251 0.4597 (multiplicity 1)
O: 0.3256 0.3474 0.9569 (multiplicity 1)
O: 0.3581 0.8302 0.9614 (multiplicity 1)
O: 0.4429 0.9481 0.0866 (multiplicity 1)
O: 0.4470 0.4586 0.5909 (multiplicity 1)
O: 0.4661 0.4674 0.0880 (multiplicity 1)
O: 0.5680 0.5725 0.2079 (multiplicity 1)
O: 0.5684 0.5794 0.7115 (multiplicity 1)
O: 0.5695 0.1114 0.7088 (multiplicity 1)
O: 0.5992 0.0864 0.2164 (multiplicity 1)
O: 0.6828 0.1994 0.3439 (multiplicity 1)
O: 0.6835 0.7138 0.3399 (multiplicity 1)
O: 0.8089 0.8367 0.4578 (multiplicity 1)
O: 0.8265 0.3610 0.9639 (multiplicity 1)
O: 0.8315 0.8333 0.9654 (multiplicity 1)
O: 0.8435 0.3209 0.4585 (multiplicity 1)
O: 0.9414 0.4486 0.0880 (multiplicity 1)
O: 0.9495 0.9624 0.5902 (multiplicity 1)
O: 0.9622 0.9663 0.0948 (multiplicity 1)


# Ga3NO3
Computed XRD peak list, Cu Kα (λ = 1.5418 Å). Input: a PBE-relaxed structure.
Kinematic intensities with the Lorentz-polarization factor, no thermal factor.

Main lines, by angle (10° ≤ 2θ ≤ 80°):
2θ (°)  Rel. int.  h k l
12.40  188  1 0 0
21.56  234  1 1 0
24.94  592  2 0 0
30.74  800  1 0 2
33.20  1000  2 1 0
37.86  590  2 0 2
47.70  445  3 0 2
63.91  398  2 3 2
66.85  228  4 1 2
68.41  231  2 1 4

Lattice parameters (Å, degrees): 8.2448 8.2448 6.3694 90.00 90.00 120.00
Space group P-6 (No. 174)
One atom of each set of equivalent atoms:
Ga: 0.0706 0.4992 0.2434 (multiplicity 6)
Ga: 0.2546 0.1576 0.5000 (multiplicity 3)
Ga: 0.2632 0.1605 0.0000 (multiplicity 3)
N: 0.0000 0.0000 0.5000 (multiplicity 1)
N: 0.0044 0.3599 0.0000 (multiplicity 3)
O: 0.0000 0.0000 0.0000 (multiplicity 1)
O: 0.3333 0.6667 0.2693 (multiplicity 2)
O: 0.3353 0.3065 0.2529 (multiplicity 6)
O: 0.3780 0.0121 0.5000 (multiplicity 3)


# PrGaNO
Computed XRD peak list, Cu Kα (λ = 1.5418 Å). Input: a PBE-relaxed structure.
Kinematic intensities with the Lorentz-polarization factor, no thermal factor.

Main lines, by angle (10° ≤ 2θ ≤ 80°):
2θ (°)  Rel. int.  h k l
15.10  333  0 0 2
30.47  398  0 0 4
31.27  935  1 0 1
34.02  1000  1 0 2
38.22  716  1 0 3
49.65  267  1 0 5
53.84  423  1 1 0
56.46  227  1 0 6
63.13  309  1 1 4
65.24  150  2 0 2

Lattice parameters (Å, degrees): 3.4056 3.4056 11.7335 90.00 90.00 120.00
Space group P6_3mc (No. 186)
One atom of each set of equivalent atoms:
Pr: 0.3333 0.6667 0.0000 (multiplicity 2)
Ga: 0.0000 0.0000 0.2813 (multiplicity 2)
N: 0.3333 0.6667 0.3370 (multiplicity 2)
O: 0.0000 0.0000 0.1218 (multiplicity 2)


# GaSnN2O
Computed XRD peak list, Cu Kα (λ = 1.5418 Å). Input: a PBE-relaxed structure.
Kinematic intensities with the Lorentz-polarization factor, no thermal factor.

Main lines, by angle (10° ≤ 2θ ≤ 80°):
2θ (°)  Rel. int.  h k l
31.84  566  1 1 0
32.55  1000  1 0 1
39.85  149  1 1 1
45.65  340  2 0 0
47.72  149  0 0 2
57.18  421  2 1 1
58.51  209  1 1 2
66.55  105  2 2 0
68.17  195  2 0 2
75.67  101  3 1 0

Lattice parameters (Å, degrees): 3.9745 3.9745 3.8121 90.00 90.00 90.00
Space group P4/mmm (No. 123)
One atom of each set of equivalent atoms:
Ga: 0.0000 0.0000 0.0000 (multiplicity 1)
Sn: 0.5000 0.5000 0.5000 (multiplicity 1)
N: 0.0000 0.5000 0.0000 (multiplicity 2)
O: 0.0000 0.0000 0.5000 (multiplicity 1)